No. 1
Structure and simulated PXRD pattern of Rb2ScCl6F (the GGA-PBE geometry in Alexandria; Cu Ka).
Neutral-atom scattering factors, no anomalous dispersion.

Most intense lines, 2θ = 10–80°, in order of rising 2θ:
2theta  intensity
22.3  34
25.2  51
29.8  100
31.7  83
39.6  21
40.9  21
45.5  25
51.2  18
51.6  33
55.3  23

Atomic structure:
```
10
Lattice="-3.989 3.989 4.547 3.989 -3.989 4.547 3.989 3.989 -4.547" Properties=species:S:1:pos:R:3 pbc="T T T"
Rb 3.989 0.000 2.273
Rb 0.000 3.989 2.273
Sc 0.000 0.000 0.000
Cl 1.734 1.734 0.000
Cl 2.255 -2.255 4.547
Cl 0.000 0.000 2.565
Cl 0.000 0.000 6.528
Cl -2.255 2.255 4.547
Cl 2.255 2.255 4.547
F 0.000 0.000 4.547
```

No. 2
Structure and simulated PXRD pattern of Y3Ho2Er2 (the GGA-PBE geometry in Alexandria; Cu Ka).
Neutral-atom scattering factors, no anomalous dispersion.

Most intense lines, 2θ = 10–80°, in order of rising 2θ:
2theta  intensity
27.8  17
30.2  46
31.2  36
31.7  100
31.9  20
32.9  49
34.0  51
50.6  23
58.0  18
62.7  17

Atomic structure:
```
7
Lattice="3.529 0.000 0.000 0.000 5.448 0.000 1.729 2.722 11.541" Properties=species:S:1:pos:R:3 pbc="T T T"
Y 0.000 0.000 0.000
Y 1.748 5.447 6.370
Y 3.510 2.723 5.171
Ho 1.756 2.722 1.841
Ho 3.502 5.448 9.700
Er 1.739 2.723 8.270
Er 3.519 5.447 3.271
```